[1]
Starting from a structure optimized by DFT (PBE+U), the powder diffractogram of LiCrP2O7 was simulated for Cu Kα (λ = 1.5418 Å).
Lines closer than 0.1° are merged.

Structural model:
```
data_LiCrP2O7
_cell_length_a 15.405
_cell_length_b 5.049
_cell_length_c 8.724
_cell_angle_alpha 90.00
_cell_angle_beta 120.26
_cell_angle_gamma 90.00
_space_group_name_H-M_alt 'C 1 c 1'
_space_group_IT_number 9
loop_
_space_group_symop_operation_xyz
'x,y,z'
'x,-y,z+1/2'
'x+1/2,y+1/2,z'
'x+1/2,-y+1/2,z+1/2'
loop_
_atom_site_label
_atom_site_type_symbol
_atom_site_fract_x
_atom_site_fract_y
_atom_site_fract_z
_atom_site_occupancy
Li1 Li 0.000 0.118 0.000 1
Cr1 Cr 0.269 0.306 0.243 1
P1 P 0.137 0.279 0.821 1
P2 P 0.343 0.159 0.958 1
O1 O 0.042 0.179 0.667 1
O2 O 0.143 0.248 0.003 1
O3 O 0.174 0.441 0.314 1
O4 O 0.224 0.083 0.825 1
O5 O 0.353 0.238 0.133 1
O6 O 0.361 0.381 0.855 1
O7 O 0.388 0.112 0.455 1
```

Top 8 peaks for 10° ≤ 2θ ≤ 80°, by angle:
| Position (°2θ) | I/Imax | hkl |
| --- | --- | --- |
| 13.31 | 76 | 2 0 0 |
| 20.36 | 100 | 1 1 -1 |
| 23.61 | 14 | 0 0 2 |
| 24.79 | 16 | 3 1 -1 |
| 26.78 | 10 | 4 0 0 |
| 33.26 | 14 | 3 1 1 |
| 35.70 | 10 | 3 1 -3 |
| 45.16 | 12 | 5 1 1 |

---

[2]
Starting from a structure optimized by DFT (PBE+U), the powder diffractogram of LiCrP2O7 was simulated for Cu Kα (λ = 1.5418 Å).
Lines closer than 0.1° are merged.

Structural model:
```
data_LiCrP2O7
_cell_length_a 7.005
_cell_length_b 8.512
_cell_length_c 9.148
_cell_angle_alpha 90.00
_cell_angle_beta 111.75
_cell_angle_gamma 90.00
_space_group_name_H-M_alt 'P 1 21/c 1'
_space_group_IT_number 14
loop_
_space_group_symop_operation_xyz
'x,y,z'
'-x,-y,-z'
'-x,y+1/2,-z+1/2'
'x,-y+1/2,z+1/2'
loop_
_atom_site_label
_atom_site_type_symbol
_atom_site_fract_x
_atom_site_fract_y
_atom_site_fract_z
_atom_site_occupancy
Li1 Li 0.190 0.082 0.091 1
Cr1 Cr 0.305 0.063 0.686 1
P1 P 0.072 0.731 0.746 1
P2 P 0.478 0.716 0.036 1
O1 O 0.056 0.611 0.623 1
O2 O 0.117 0.234 0.705 1
O3 O 0.123 0.602 0.207 1
O4 O 0.253 0.683 0.912 1
O5 O 0.370 0.218 0.550 1
O6 O 0.482 0.622 0.612 1
O7 O 0.490 0.082 0.344 1
```

Top 8 peaks for 10° ≤ 2θ ≤ 80°, by angle:
| Position (°2θ) | I/Imax | hkl |
| --- | --- | --- |
| 14.73 | 30 | 0 1 1 |
| 20.89 | 50 | 0 0 2 |
| 22.61 | 71 | 1 1 1 |
| 23.38 | 32 | 0 2 1 |
| 29.05 | 69 | 1 0 2 |
| 29.27 | 100 | 1 2 -2 |
| 29.65 | 80 | 2 1 -2 |
| 42.45 | 22 | 2 3 -2 |

---

[3]
Starting from a structure optimized by DFT (PBE+U), the powder diffractogram of LiCr2P2O8 was simulated for Cu Kα (λ = 1.5418 Å).
Lines closer than 0.1° are merged.

Structural model:
```
data_LiCr2P2O8
_cell_length_a 6.616
_cell_length_b 4.908
_cell_length_c 8.859
_cell_angle_alpha 90.00
_cell_angle_beta 90.00
_cell_angle_gamma 90.00
_space_group_name_H-M_alt 'P m c 21'
_space_group_IT_number 26
loop_
_space_group_symop_operation_xyz
'x,y,z'
'-x,-y,z+1/2'
'-x,y,z'
'x,-y,z+1/2'
loop_
_atom_site_label
_atom_site_type_symbol
_atom_site_fract_x
_atom_site_fract_y
_atom_site_fract_z
_atom_site_occupancy
Li1 Li 0.000 0.206 0.000 1
Cr1 Cr 0.258 0.252 0.663 1
P1 P 0.000 0.286 0.342 1
P2 P 0.500 0.229 0.985 1
O1 O 0.000 0.022 0.793 1
O2 O 0.000 0.310 0.523 1
O3 O 0.192 0.426 0.289 1
O4 O 0.304 0.089 0.040 1
O5 O 0.500 0.199 0.808 1
O6 O 0.500 0.470 0.542 1
```

Top 8 peaks for 10° ≤ 2θ ≤ 80°, by angle:
| Position (°2θ) | I/Imax | hkl |
| --- | --- | --- |
| 20.69 | 71 | 0 1 1 |
| 24.18 | 39 | 1 0 2 |
| 24.72 | 100 | 1 1 1 |
| 33.82 | 77 | 2 0 2 |
| 34.22 | 55 | 2 1 1 |
| 35.48 | 73 | 0 1 3 |
| 50.69 | 41 | 2 2 2 |
| 62.39 | 33 | 2 1 5 |

---

[4]
Starting from a structure optimized by DFT (PBE+U), the powder diffractogram of LiCrP2O7 was simulated for Cu Kα (λ = 1.5418 Å).
Lines closer than 0.1° are merged.

Structural model:
```
data_LiCrP2O7
_cell_length_a 8.665
_cell_length_b 13.384
_cell_length_c 5.230
_cell_angle_alpha 90.00
_cell_angle_beta 93.57
_cell_angle_gamma 90.00
_space_group_name_H-M_alt 'C 1 2/m 1'
_space_group_IT_number 12
loop_
_space_group_symop_operation_xyz
'x,y,z'
'-x,-y,-z'
'-x,y,-z'
'x,-y,z'
'x+1/2,y+1/2,z'
'-x+1/2,-y+1/2,-z'
'-x+1/2,y+1/2,-z'
'x+1/2,-y+1/2,z'
loop_
_atom_site_label
_atom_site_type_symbol
_atom_site_fract_x
_atom_site_fract_y
_atom_site_fract_z
_atom_site_occupancy
Li1 Li 0.000 0.223 0.000 1
Cr1 Cr 0.170 0.000 0.179 1
P1 P 0.219 0.393 0.287 1
O1 O 0.109 0.310 0.238 1
O2 O 0.129 0.500 0.237 1
O3 O 0.149 0.102 0.910 1
O4 O 0.206 0.100 0.438 1
```

Top 8 peaks for 10° ≤ 2θ ≤ 80°, by angle:
| Position (°2θ) | I/Imax | hkl |
| --- | --- | --- |
| 13.23 | 100 | 0 2 0 |
| 20.54 | 86 | 2 0 0 |
| 21.48 | 25 | 1 1 1 |
| 24.51 | 34 | 2 2 0 |
| 25.93 | 58 | 2 0 -1 |
| 27.87 | 38 | 1 3 -1 |
| 28.66 | 27 | 1 3 1 |
| 31.76 | 19 | 3 1 0 |

---

[5]
Starting from a structure optimized by DFT (PBE+U), the powder diffractogram of LiCr2P2O8 was simulated for Cu Kα (λ = 1.5418 Å).
Lines closer than 0.1° are merged.

Structural model:
```
data_LiCr2P2O8
_cell_length_a 4.949
_cell_length_b 8.315
_cell_length_c 9.927
_cell_angle_alpha 90.00
_cell_angle_beta 115.80
_cell_angle_gamma 90.00
_space_group_name_H-M_alt 'P 1 c 1'
_space_group_IT_number 7
loop_
_space_group_symop_operation_xyz
'x,y,z'
'x,-y,z+1/2'
loop_
_atom_site_label
_atom_site_type_symbol
_atom_site_fract_x
_atom_site_fract_y
_atom_site_fract_z
_atom_site_occupancy
Li1 Li 0.000 0.162 0.000 1
Cr1 Cr 0.202 0.433 0.649 1
Cr2 Cr 0.604 0.106 0.606 1
P1 P 0.350 0.078 0.797 1
P2 P 0.621 0.459 0.470 1
O1 O 0.062 0.101 0.814 1
O2 O 0.326 0.039 0.169 1
O3 O 0.339 0.476 0.497 1
O4 O 0.449 0.240 0.741 1
O5 O 0.515 0.438 0.301 1
O6 O 0.620 0.039 0.947 1
O7 O 0.811 0.306 0.552 1
O8 O 0.864 0.407 0.045 1
```

Top 8 peaks for 10° ≤ 2θ ≤ 80°, by angle:
| Position (°2θ) | I/Imax | hkl |
| --- | --- | --- |
| 14.55 | 100 | 0 1 1 |
| 19.90 | 53 | 1 0 0 |
| 21.16 | 32 | 1 0 -2 |
| 21.37 | 52 | 0 2 0 |
| 22.61 | 23 | 0 1 2 |
| 23.74 | 30 | 1 1 -2 |
| 33.85 | 28 | 1 2 1 |
| 35.37 | 23 | 1 2 -3 |

---

[6]
Starting from a structure optimized by DFT (PBE+U), the powder diffractogram of LiCrPO4 was simulated for Cu Kα (λ = 1.5418 Å).
Lines closer than 0.1° are merged.

Structural model:
```
data_LiCrPO4
_cell_length_a 5.710
_cell_length_b 11.297
_cell_length_c 9.546
_cell_angle_alpha 90.00
_cell_angle_beta 90.00
_cell_angle_gamma 90.00
_space_group_name_H-M_alt 'F d d 2'
_space_group_IT_number 43
_space_group_name_Hall 'F 2 -2d'
loop_
_atom_site_label
_atom_site_type_symbol
_atom_site_fract_x
_atom_site_fract_y
_atom_site_fract_z
_atom_site_occupancy
Li1 Li 0.000 0.000 0.000 1
Cr1 Cr 0.000 0.000 0.649 1
P1 P 0.000 0.000 0.300 1
O1 O 0.086 0.323 0.452 1
O2 O 0.100 0.172 0.650 1
```

Top 8 peaks for 10° ≤ 2θ ≤ 80°, by angle:
| Position (°2θ) | I/Imax | hkl |
| --- | --- | --- |
| 19.75 | 64 | 1 1 1 |
| 24.42 | 64 | 0 2 2 |
| 29.93 | 35 | 1 3 1 |
| 31.68 | 25 | 0 4 0 |
| 33.19 | 100 | 1 1 3 |
| 35.22 | 44 | 2 2 0 |
| 40.12 | 22 | 2 2 2 |
| 52.18 | 43 | 1 5 3 |

---

[7]
Starting from a structure optimized by DFT (PBE+U), the powder diffractogram of LiCrPO4 was simulated for Cu Kα (λ = 1.5418 Å).
Lines closer than 0.1° are merged.

Structural model:
```
data_LiCrPO4
_cell_length_a 7.6112
_cell_length_b 7.6112
_cell_length_c 9.5469
_cell_angle_alpha 90.00
_cell_angle_beta 90.00
_cell_angle_gamma 120.00
_space_group_name_H-M_alt 'P 3 1 c'
_space_group_IT_number 159
loop_
_space_group_symop_operation_xyz
'x,y,z'
'-y,x-y,z'
'-x+y,-x,z'
'y,x,z+1/2'
'x-y,-y,z+1/2'
'-x,-x+y,z+1/2'
loop_
_atom_site_label
_atom_site_type_symbol
_atom_site_fract_x
_atom_site_fract_y
_atom_site_fract_z
_atom_site_occupancy
Li1 Li 0.0422 0.2474 0.0000 1
Cr1 Cr 0.0508 0.5814 0.2196 1
P1 P 0.0000 0.0000 0.2482 1
P2 P 0.3333 0.6667 0.5177 1
P3 P 0.3333 0.6667 0.9224 1
O1 O 0.0000 0.0000 0.4108 1
O2 O 0.1077 0.8852 0.1932 1
O3 O 0.1269 0.4907 0.5683 1
O4 O 0.1613 0.7041 0.8744 1
O5 O 0.3333 0.6667 0.0914 1
O6 O 0.3333 0.6667 0.3528 1
```

Top 8 peaks for 10° ≤ 2θ ≤ 80°, by angle:
| Position (°2θ) | I/Imax | hkl |
| --- | --- | --- |
| 13.43 | 32 | 1 0 0 |
| 18.59 | 44 | 0 0 2 |
| 23.38 | 63 | 1 1 0 |
| 27.06 | 44 | 2 0 0 |
| 30.03 | 76 | 2 -1 2 |
| 31.21 | 51 | 1 0 3 |
| 33.03 | 100 | 2 0 2 |
| 42.21 | 25 | 3 0 1 |

---

[8]
Starting from a structure optimized by DFT (PBE+U), the powder diffractogram of LiCrPO4 was simulated for Cu Kα (λ = 1.5418 Å).
Lines closer than 0.1° are merged.

Structural model:
```
data_LiCrPO4
_cell_length_a 9.4876
_cell_length_b 9.4876
_cell_length_c 6.6057
_cell_angle_alpha 90.00
_cell_angle_beta 90.00
_cell_angle_gamma 120.00
_space_group_name_H-M_alt 'P 63'
_space_group_IT_number 173
loop_
_space_group_symop_operation_xyz
'x,y,z'
'x-y,x,z+1/2'
'-y,x-y,z'
'-x,-y,z+1/2'
'-x+y,-x,z'
'y,-x+y,z+1/2'
loop_
_atom_site_label
_atom_site_type_symbol
_atom_site_fract_x
_atom_site_fract_y
_atom_site_fract_z
_atom_site_occupancy
Li1 Li 0.0000 0.0000 0.0000 1
Li2 Li 0.3333 0.6667 0.1607 1
Li3 Li 0.3333 0.6667 0.7068 1
Cr1 Cr 0.1083 0.7152 0.4333 1
P1 P 0.0470 0.6848 0.9336 1
O1 O 0.0400 0.2122 0.4341 1
O2 O 0.0944 0.4956 0.4335 1
O3 O 0.1572 0.7228 0.7449 1
O4 O 0.1578 0.7230 0.1218 1
```

Top 8 peaks for 10° ≤ 2θ ≤ 80°, by angle:
| Position (°2θ) | I/Imax | hkl |
| --- | --- | --- |
| 17.22 | 19 | 1 0 1 |
| 18.71 | 50 | 1 1 0 |
| 25.53 | 14 | 2 0 1 |
| 27.00 | 48 | 0 0 2 |
| 28.75 | 100 | 2 1 0 |
| 33.05 | 23 | 1 1 2 |
| 41.94 | 12 | 1 3 1 |
| 50.92 | 28 | 1 4 0 |

---

> Which formula does entry 2 have?

LiCrP2O7